Structure and theoretical powder diffractogram of MoBr4 (a crystal structure in OQMD, relaxed with GGA-PBE; Cu Kα, 1.54184 Å).
Neutral-atom scattering factors, no anomalous dispersion.

Cell and atoms:
Lattice parameters (Å, degrees): 6.4131 6.4131 9.9054 90.00 90.00 90.00
Space group I-42m (No. 121)
Symmetry-distinct sites (fractional):
1 Mo 0.0000 0.0000 0.0000 [2 per cell]
2 Br 0.2188 0.2188 0.8649 [8 per cell]

Most intense lines, 10° ≤ 2θ ≤ 90°, in order of falling intensity:
| d [Å] | Position (°2θ) | I/Imax |
| --- | --- | --- |
| 3.345 | 26.7 | 100 |
| 5.383 | 16.5 | 59 |
| 1.960 | 46.3 | 30 |
| 1.877 | 48.5 | 28 |
| 2.267 | 39.8 | 22 |
| 3.207 | 27.8 | 18 |
| 2.165 | 41.7 | 14 |
| 1.751 | 52.3 | 14 |
| 2.755 | 32.5 | 13 |
| 4.535 | 19.6 | 12 |